The following is a theoretical powder diffraction line list of Sr2TiP2O9. It was derived from DFT lattice parameters and positions (PBE), using CuKα.
No peak broadening, texture or thermal motion is included.

Crystal structure
a = 8.8233 Å, b = 8.8233 Å, c = 6.8726 Å
α = 102.28°, β = 102.28°, γ = 130.15°
Fractional positions:
Sr 0.0440 0.9560 0.5000
Sr 0.3736 0.6219 0.9970
Sr 0.6219 0.3736 0.4970
Sr 0.9560 0.0440 0.0000
Ti 0.0132 0.5191 0.2635
Ti 0.5191 0.0132 0.7635
P 0.1615 0.8362 0.9972
P 0.4225 0.5754 0.4975
P 0.5754 0.4225 0.9975
P 0.8362 0.1615 0.4972
O 0.0044 0.2173 0.7077
O 0.0671 0.6217 0.0244
O 0.2026 0.7888 0.4929
O 0.2173 0.0044 0.2077
O 0.2427 0.5142 0.2850
O 0.3119 0.3577 0.5097
O 0.3577 0.3119 0.0097
O 0.3756 0.9293 0.9717
O 0.4840 0.7538 0.7108
O 0.5142 0.2427 0.7850
O 0.6217 0.0671 0.5244
O 0.6387 0.6845 0.4825
O 0.6845 0.6387 0.9825
O 0.7538 0.4840 0.2108
O 0.7792 0.9930 0.2859
O 0.7888 0.2026 0.9929
O 0.9293 0.3756 0.4717
O 0.9930 0.7792 0.7859

Peak list (10 most intense, 10 to 90 degrees two-theta, low angle first)
d = 3.470 Å, 25.7°, I 36; d = 3.211 Å, 27.8°, I 47; d = 3.091 Å, 28.9°, I 98; d = 2.964 Å, 30.1°, I 71; d = 2.864 Å, 31.2°, I 28; d = 2.842 Å, 31.5°, I 100; d = 2.504 Å, 35.9°, I 28; d = 2.378 Å, 37.8°, I 33; d = 1.922 Å, 47.3°, I 38; d = 1.732 Å, 52.8°, I 26



The following is a theoretical powder diffraction line list of MnGa2S4. It was derived from DFT lattice parameters and positions (PBE), using CuKα.
No peak broadening, texture or thermal motion is included.

Crystal structure
a = 12.7916 Å, b = 12.7916 Å, c = 12.7916 Å
α = 16.73°, β = 16.73°, γ = 16.73°
Fractional positions:
Mn 0.0000 0.0000 0.0000
Ga 0.2370 0.2370 0.2370
Ga 0.4732 0.4732 0.4732
S 0.1146 0.1146 0.1146
S 0.3568 0.3568 0.3568
S 0.5330 0.5330 0.5330
S 0.9359 0.9359 0.9359

Peak list (10 most intense, 10 to 90 degrees two-theta, low angle first)
d = 4.203 Å, 21.1°, I 100; d = 3.212 Å, 27.8°, I 52; d = 3.178 Å, 28.1°, I 45; d = 3.052 Å, 29.3°, I 80; d = 2.664 Å, 33.6°, I 86; d = 2.160 Å, 41.8°, I 41; d = 1.907 Å, 47.7°, I 26; d = 1.861 Å, 48.9°, I 87; d = 1.831 Å, 49.8°, I 75; d = 1.702 Å, 53.9°, I 44



The following is a theoretical powder diffraction line list of TlSnSe4. It was derived from DFT lattice parameters and positions (PBE), using CuKα.
No peak broadening, texture or thermal motion is included.

Crystal structure
a = 4.9163 Å, b = 4.9163 Å, c = 7.7313 Å
α = 92.12°, β = 92.12°, γ = 76.74°
Fractional positions:
Tl 0.0000 0.0000 0.0000
Sn 0.5000 0.5000 0.5000
Se 0.1159 0.1159 0.4010
Se 0.4048 0.4048 0.1188
Se 0.5952 0.5952 0.8812
Se 0.8841 0.8841 0.5990

Peak list (10 most intense, 10 to 90 degrees two-theta, low angle first)
d = 4.121 Å, 21.6°, I 39; d = 3.856 Å, 23.1°, I 82; d = 3.051 Å, 29.3°, I 64; d = 2.664 Å, 33.6°, I 41; d = 2.393 Å, 37.6°, I 47; d = 2.293 Å, 39.3°, I 100; d = 2.238 Å, 40.3°, I 16; d = 2.007 Å, 45.2°, I 36; d = 1.781 Å, 51.3°, I 17; d = 1.571 Å, 58.8°, I 31